This entry pairs a crystal structure of Gd3InC with its simulated XRD peak list. Radiation: Cu Kα (weighted mean of Kα1 and Kα2). Structure: a DFT-relaxed cell (PBE, the Materials Project).

Principal peaks in the range 10 to 80 degrees two-theta, by intensity:
d = 5.660 Å, I = 100; d = 2.830 Å, I = 96; d = 2.001 Å, I = 71; d = 3.268 Å, I = 68; d = 2.531 Å, I = 55; d = 1.707 Å, I = 32; d = 1.266 Å, I = 31; d = 1.887 Å, I = 29; d = 1.634 Å, I = 25; d = 1.373 Å, I = 16

Crystal structure
a = 5.660 Å, b = 5.660 Å, c = 5.660 Å
α = 90.00°, β = 90.00°, γ = 90.00°
Sites, in units of the cell vectors:
1 Gd 0.000 0.000 0.500
2 Gd 0.000 0.500 0.000
3 Gd 0.500 0.000 0.000
4 In 0.000 0.000 0.000
5 C 0.500 0.500 0.500